1.
Structure and theoretical X-ray diffraction stick pattern of K2RbAuBr6 (a crystal structure in the Materials Project, relaxed with GGA-PBE; a wavelength of 1.5418 Å).
No peak broadening, texture or thermal motion is included.

Most intense lines, 10 to 90 degrees two-theta, by angle:
2θ 13.05, rel. 43
2θ 15.08, rel. 100
2θ 21.39, rel. 31
2θ 30.43, rel. 95
2θ 34.13, rel. 49
2θ 39.87, rel. 20
2θ 43.58, rel. 65
2θ 46.37, rel. 26
2θ 54.08, rel. 21
2θ 71.88, rel. 24

Crystal structure
Unit cell a=8.307 b=8.307 c=8.307 alpha=60.00 beta=60.00 gamma=60.00
Element x y z (fractional)
1 K 0.250 0.250 0.250
2 K 0.750 0.750 0.750
3 Rb 0.000 0.000 0.000
4 Au 0.500 0.500 0.500
5 Br 0.274 0.274 0.726
6 Br 0.274 0.726 0.274
7 Br 0.274 0.726 0.726
8 Br 0.726 0.274 0.274
9 Br 0.726 0.274 0.726
10 Br 0.726 0.726 0.274

---

2.
Structure and theoretical X-ray diffraction stick pattern of K2SbAuBr6 (a crystal structure in the Materials Project, relaxed with GGA-PBE; a wavelength of 1.5418 Å).
No peak broadening, texture or thermal motion is included.

Most intense lines, 10 to 90 degrees two-theta, by angle:
2θ 15.77, rel. 100
2θ 22.38, rel. 31
2θ 31.86, rel. 93
2θ 35.74, rel. 55
2θ 45.67, rel. 67
2θ 48.62, rel. 29
2θ 56.76, rel. 23
2θ 68.91, rel. 17
2θ 75.71, rel. 29
2θ 84.48, rel. 23

Crystal structure
Unit cell a=7.946 b=7.946 c=7.946 alpha=60.00 beta=60.00 gamma=60.00
Element x y z (fractional)
1 K 0.250 0.250 0.250
2 K 0.750 0.750 0.750
3 Sb 0.000 0.000 0.000
4 Au 0.500 0.500 0.500
5 Br 0.251 0.251 0.749
6 Br 0.251 0.749 0.251
7 Br 0.251 0.749 0.749
8 Br 0.749 0.251 0.251
9 Br 0.749 0.251 0.749
10 Br 0.749 0.749 0.251

---

3.
Structure and theoretical X-ray diffraction stick pattern of K2ScAuBr6 (a crystal structure in the Materials Project, relaxed with GGA-PBE; a wavelength of 1.5418 Å).
No peak broadening, texture or thermal motion is included.

Most intense lines, 10 to 90 degrees two-theta, by angle:
2θ 16.11, rel. 87
2θ 26.88, rel. 25
2θ 28.10, rel. 33
2θ 32.56, rel. 100
2θ 36.53, rel. 46
2θ 46.71, rel. 70
2θ 49.73, rel. 24
2θ 58.09, rel. 24
2θ 77.63, rel. 30
2θ 86.72, rel. 23

Crystal structure
Unit cell a=7.779 b=7.779 c=7.779 alpha=60.00 beta=60.00 gamma=60.00
Element x y z (fractional)
1 K 0.250 0.250 0.250
2 K 0.750 0.750 0.750
3 Sc 0.000 0.000 0.000
4 Au 0.500 0.500 0.500
5 Br 0.242 0.242 0.758
6 Br 0.242 0.758 0.242
7 Br 0.242 0.758 0.758
8 Br 0.758 0.242 0.242
9 Br 0.758 0.242 0.758
10 Br 0.758 0.758 0.242

---

What did the third record say?
Structure and theoretical X-ray diffraction stick pattern of K2ScAuBr6 (a crystal structure in the Materials Project, relaxed with GGA-PBE; a wavelength of 1.5418 Å).
No peak broadening, texture or thermal motion is included.

Most intense lines, 10 to 90 degrees two-theta, by angle:
2θ 16.11, rel. 87
2θ 26.88, rel. 25
2θ 28.10, rel. 33
2θ 32.56, rel. 100
2θ 36.53, rel. 46
2θ 46.71, rel. 70
2θ 49.73, rel. 24
2θ 58.09, rel. 24
2θ 77.63, rel. 30
2θ 86.72, rel. 23

Crystal structure
Unit cell a=7.779 b=7.779 c=7.779 alpha=60.00 beta=60.00 gamma=60.00
Element x y z (fractional)
1 K 0.250 0.250 0.250
2 K 0.750 0.750 0.750
3 Sc 0.000 0.000 0.000
4 Au 0.500 0.500 0.500
5 Br 0.242 0.242 0.758
6 Br 0.242 0.758 0.242
7 Br 0.242 0.758 0.758
8 Br 0.758 0.242 0.242
9 Br 0.758 0.242 0.758
10 Br 0.758 0.758 0.242

---

What did the second record say?
Structure and theoretical X-ray diffraction stick pattern of K2SbAuBr6 (a crystal structure in the Materials Project, relaxed with GGA-PBE; a wavelength of 1.5418 Å).
No peak broadening, texture or thermal motion is included.

Most intense lines, 10 to 90 degrees two-theta, by angle:
2θ 15.77, rel. 100
2θ 22.38, rel. 31
2θ 31.86, rel. 93
2θ 35.74, rel. 55
2θ 45.67, rel. 67
2θ 48.62, rel. 29
2θ 56.76, rel. 23
2θ 68.91, rel. 17
2θ 75.71, rel. 29
2θ 84.48, rel. 23

Crystal structure
Unit cell a=7.946 b=7.946 c=7.946 alpha=60.00 beta=60.00 gamma=60.00
Element x y z (fractional)
1 K 0.250 0.250 0.250
2 K 0.750 0.750 0.750
3 Sb 0.000 0.000 0.000
4 Au 0.500 0.500 0.500
5 Br 0.251 0.251 0.749
6 Br 0.251 0.749 0.251
7 Br 0.251 0.749 0.749
8 Br 0.749 0.251 0.251
9 Br 0.749 0.251 0.749
10 Br 0.749 0.749 0.251

---

Question: What is the formula in the second record?
Answer: K2SbAuBr6

---

Please write out number 2 again, unchanged.
Structure and theoretical X-ray diffraction stick pattern of K2SbAuBr6 (a crystal structure in the Materials Project, relaxed with GGA-PBE; a wavelength of 1.5418 Å).
No peak broadening, texture or thermal motion is included.

Most intense lines, 10 to 90 degrees two-theta, by angle:
2θ 15.77, rel. 100
2θ 22.38, rel. 31
2θ 31.86, rel. 93
2θ 35.74, rel. 55
2θ 45.67, rel. 67
2θ 48.62, rel. 29
2θ 56.76, rel. 23
2θ 68.91, rel. 17
2θ 75.71, rel. 29
2θ 84.48, rel. 23

Crystal structure
Unit cell a=7.946 b=7.946 c=7.946 alpha=60.00 beta=60.00 gamma=60.00
Element x y z (fractional)
1 K 0.250 0.250 0.250
2 K 0.750 0.750 0.750
3 Sb 0.000 0.000 0.000
4 Au 0.500 0.500 0.500
5 Br 0.251 0.251 0.749
6 Br 0.251 0.749 0.251
7 Br 0.251 0.749 0.749
8 Br 0.749 0.251 0.251
9 Br 0.749 0.251 0.749
10 Br 0.749 0.749 0.251